Record 1
Structure and theoretical powder diffractogram of Ca3Dy2ZrAs6 (a GGA-PBE-relaxed structure; Cu Ka).
Kinematic intensities with the Lorentz-polarization factor, no thermal factor.

Structural model:
a = 7.096 Å, b = 7.096 Å, c = 7.282 Å
α = 99.35°, β = 99.35°, γ = 119.98°
Sites, in units of the cell vectors:
Ca 0.000 0.000 0.000
Ca 0.330 0.670 0.000
Ca 0.670 0.330 0.000
Dy 0.166 0.834 0.500
Dy 0.834 0.166 0.500
Zr 0.500 0.500 0.500
As 0.101 0.423 0.268
As 0.257 0.257 0.733
As 0.423 0.101 0.268
As 0.577 0.899 0.732
As 0.743 0.743 0.267
As 0.899 0.577 0.732

The 10 most intense peaks (2θ = 10–90°), most intense first:
| Position (°2θ) | I/Imax |
| --- | --- |
| 30.57 | 100 |
| 43.33 | 37 |
| 44.21 | 36 |
| 12.85 | 28 |
| 54.70 | 18 |
| 72.87 | 15 |
| 71.59 | 15 |
| 63.63 | 11 |
| 25.47 | 11 |
| 80.74 | 11 |


Record 2
Structure and theoretical powder diffractogram of Ca4ErPa3As8 (a GGA-PBE-relaxed structure; Cu Ka).
Kinematic intensities with the Lorentz-polarization factor, no thermal factor.

Structural model:
a = 8.356 Å, b = 8.356 Å, c = 8.356 Å
α = 59.91°, β = 59.91°, γ = 59.91°
Sites, in units of the cell vectors:
Ca 0.000 0.000 0.000
Ca 0.000 0.500 0.500
Ca 0.500 0.000 0.500
Ca 0.500 0.500 0.000
Er 0.500 0.500 0.500
Pa 0.000 0.000 0.500
Pa 0.000 0.500 0.000
Pa 0.500 0.000 0.000
As 0.240 0.746 0.746
As 0.245 0.245 0.245
As 0.254 0.254 0.760
As 0.254 0.760 0.254
As 0.746 0.240 0.746
As 0.746 0.746 0.240
As 0.755 0.755 0.755
As 0.760 0.254 0.254

The 10 most intense peaks (2θ = 10–90°), most intense first:
| Position (°2θ) | I/Imax |
| --- | --- |
| 30.27 | 100 |
| 43.35 | 74 |
| 12.97 | 48 |
| 71.45 | 33 |
| 25.02 | 26 |
| 53.81 | 20 |
| 79.57 | 19 |
| 39.63 | 14 |
| 45.46 | 14 |
| 62.97 | 12 |


Record 3
Structure and theoretical powder diffractogram of Ca3ErU2As6 (a GGA-PBE-relaxed structure; Cu Ka).
Kinematic intensities with the Lorentz-polarization factor, no thermal factor.

Structural model:
a = 7.208 Å, b = 7.208 Å, c = 7.245 Å
α = 99.54°, β = 99.54°, γ = 119.98°
Sites, in units of the cell vectors:
Ca 0.000 0.000 0.000
Ca 0.335 0.665 0.000
Ca 0.665 0.335 0.000
Er 0.500 0.500 0.500
U 0.167 0.833 0.500
U 0.833 0.167 0.500
As 0.084 0.423 0.270
As 0.238 0.238 0.731
As 0.423 0.084 0.270
As 0.577 0.916 0.730
As 0.762 0.762 0.269
As 0.916 0.577 0.730

The 10 most intense peaks (2θ = 10–90°), most intense first:
| Position (°2θ) | I/Imax |
| --- | --- |
| 30.31 | 100 |
| 12.95 | 48 |
| 43.49 | 37 |
| 43.32 | 36 |
| 25.09 | 24 |
| 53.93 | 20 |
| 71.69 | 17 |
| 71.43 | 16 |
| 45.57 | 14 |
| 79.71 | 12 |